# 1
Calculated powder XRD pattern of Tb11In6Ge4 for Cu Kα, from a cell relaxed with PBE.

Atomic structure:
```
Tb11In6Ge4
1.0
-5.7994 5.7994 8.1713
5.7994 -5.7994 8.1713
5.7994 5.7994 -8.1713
Tb In Ge
22 12 8
direct
0.0651 0.3142 0.7509
0.1011 0.4466 0.3456
0.1011 0.7555 0.6544
0.1663 0.1663 0.0000
0.2445 0.8989 0.3456
0.3142 0.0651 0.7509
0.3142 0.5633 0.2491
0.3315 0.3315 0.6630
0.3315 0.6685 0.0000
0.4367 0.6858 0.7509
0.4466 0.1011 0.3456
0.5534 0.8989 0.6544
0.5633 0.3142 0.2491
0.6685 0.3315 0.0000
0.6685 0.6685 0.3370
0.6858 0.4367 0.7509
0.6858 0.9349 0.2491
0.7555 0.1011 0.6544
0.8337 0.8337 0.0000
0.8989 0.2445 0.3456
0.8989 0.5534 0.6544
0.9349 0.6858 0.2491
0.0344 0.0344 0.4114
0.0344 0.6230 0.0000
0.1293 0.1293 0.2586
0.1293 0.8707 0.0000
0.3770 0.3770 0.4114
0.3770 0.9656 0.0000
0.6230 0.0344 0.0000
0.6230 0.6230 0.5886
0.8707 0.1293 0.0000
0.8707 0.8707 0.7414
0.9656 0.3770 0.0000
0.9656 0.9656 0.5886
0.1533 0.5000 0.6533
0.2500 0.7500 0.5000
0.3830 0.3830 0.0000
0.5000 0.1533 0.6533
0.5000 0.8467 0.3467
0.6170 0.6170 0.0000
0.7500 0.2500 0.5000
0.8467 0.5000 0.3467
```

Peak list (6 most intense, 2θ from 5° to 70°, low angle first)
2theta, d_spacing, I (rel.)
32.34, 2.769, 100
32.77, 2.733, 83
35.97, 2.497, 25
42.36, 2.134, 13
47.03, 1.932, 15
65.13, 1.432, 21

***

# 2
Calculated powder XRD pattern of MgTi2P2O10 for Cu Kα, from a cell relaxed with PBE.

Atomic structure:
```
MgTi2P2O10
1.0
7.4330 0.0000 0.0000
0.0000 7.4702 0.0000
-3.6908 0.0000 6.4687
Mg Ti P O
2 4 4 20
direct
0.0000 0.0000 0.0000
0.0000 0.5000 0.5000
0.2666 0.2215 0.7944
0.2666 0.2785 0.2944
0.7334 0.7215 0.7056
0.7334 0.7785 0.2056
0.2446 0.6202 0.9944
0.2446 0.8798 0.4944
0.7554 0.1202 0.5056
0.7554 0.3798 0.0056
0.0591 0.7496 0.4142
0.0591 0.7504 0.9142
0.2137 0.0042 0.3140
0.2137 0.4958 0.8140
0.2313 0.1578 0.9999
0.2313 0.3422 0.4999
0.2610 0.5066 0.1753
0.2610 0.9934 0.6753
0.4428 0.7329 0.0718
0.4428 0.7671 0.5718
0.5572 0.2329 0.4282
0.5572 0.2671 0.9282
0.7390 0.0066 0.3247
0.7390 0.4934 0.8247
0.7687 0.6578 0.5001
0.7687 0.8422 0.0001
0.7863 0.5042 0.1860
0.7863 0.9958 0.6860
0.9409 0.2496 0.0858
0.9409 0.2504 0.5858
```

Peak list (6 most intense, 2θ from 5° to 70°, low angle first)
2theta, d_spacing, I (rel.)
18.16, 4.886, 35
26.75, 3.333, 100
26.79, 3.327, 32
27.62, 3.229, 93
33.96, 2.640, 29
43.75, 2.069, 27

***

# 3
Calculated powder XRD pattern of TeMoWSeS2 for Cu Kα, from a cell relaxed with PBE.

Atomic structure:
```
TeMoWSeS2
1.0
3.3058 0.0000 0.0000
-1.6529 2.8629 0.0000
0.0000 0.0000 37.6176
Te Mo W Se S
2 2 2 2 4
direct
0.0000 0.0000 0.0000
0.0000 0.0000 0.1016
0.0000 0.0000 0.8629
0.3333 0.6667 0.0508
0.0000 0.0000 0.2387
0.3333 0.6667 0.4265
0.0000 0.0000 0.3817
0.0000 0.0000 0.4714
0.3333 0.6667 0.1979
0.3333 0.6667 0.2794
0.3333 0.6667 0.8223
0.3333 0.6667 0.9036
```

Peak list (6 most intense, 2θ from 5° to 70°, low angle first)
2theta, d_spacing, I (rel.)
7.05, 12.539, 35
11.76, 7.524, 100
31.27, 2.860, 48
36.75, 2.445, 79
44.52, 2.035, 41
55.62, 1.653, 27

***

# 4
Calculated powder XRD pattern of Bi12Br5O16 for Cu Kα, from a cell relaxed with PBE.

Atomic structure:
```
Bi12Br5O16
1.0
15.6842 -1.9983 0.0000
15.6842 1.9983 0.0000
-0.0882 0.0000 10.2324
Bi Br O
12 5 16
direct
0.0313 0.0313 0.2683
0.0869 0.0869 0.8952
0.1487 0.1487 0.4325
0.2049 0.2049 0.0591
0.3273 0.3273 0.2620
0.4415 0.4415 0.4243
0.5585 0.5585 0.5757
0.6727 0.6727 0.7380
0.7951 0.7951 0.9409
0.8513 0.8513 0.5675
0.9131 0.9131 0.1048
0.9687 0.9687 0.7317
0.2778 0.2778 0.6874
0.3875 0.3875 0.8465
0.5000 0.5000 0.0000
0.6125 0.6125 0.1535
0.7222 0.7222 0.3126
0.0419 0.0419 0.7159
0.0736 0.0736 0.4487
0.1586 0.1586 0.8859
0.1767 0.1767 0.6252
0.2772 0.2772 0.0376
0.3672 0.3672 0.4712
0.3971 0.3971 0.2051
0.4814 0.4814 0.6321
0.5186 0.5186 0.3679
0.6029 0.6029 0.7949
0.6328 0.6328 0.5288
0.7228 0.7228 0.9624
0.8233 0.8233 0.3748
0.8414 0.8414 0.1141
0.9264 0.9264 0.5513
0.9581 0.9581 0.2841
```

Peak list (6 most intense, 2θ from 5° to 70°, low angle first)
2theta, d_spacing, I (rel.)
28.63, 3.118, 45
29.58, 3.020, 100
29.72, 3.006, 51
31.29, 2.859, 72
45.39, 1.998, 20
51.56, 1.773, 22

***

# 5
Calculated powder XRD pattern of Mg6ZnCO8 for Cu Kα, from a cell relaxed with PBE.

Atomic structure:
```
Mg6ZnCO8
1.0
4.2305 0.0000 0.0000
0.0000 4.2305 0.0000
0.0000 0.0000 8.5236
Mg Zn C O
6 1 1 8
direct
0.0000 0.0000 0.0000
0.0000 0.0000 0.5000
0.0000 0.5000 0.2460
0.0000 0.5000 0.7540
0.5000 0.0000 0.2460
0.5000 0.0000 0.7540
0.5000 0.5000 0.5000
0.5000 0.5000 0.0000
0.0000 0.0000 0.2490
0.0000 0.0000 0.7510
0.0000 0.5000 0.0000
0.0000 0.5000 0.5000
0.5000 0.0000 0.0000
0.5000 0.0000 0.5000
0.5000 0.5000 0.2470
0.5000 0.5000 0.7530
```

Peak list (6 most intense, 2θ from 5° to 70°, low angle first)
2theta, d_spacing, I (rel.)
10.38, 8.524, 35
23.48, 3.789, 26
42.42, 2.131, 51
42.75, 2.115, 100
61.80, 1.501, 57
62.05, 1.496, 28

***

# 6
Calculated powder XRD pattern of Ce5Mg for Cu Kα, from a cell relaxed with PBE.

Atomic structure:
```
Ce5Mg
1.0
3.2009 0.0000 0.0000
-1.6004 2.7720 0.0000
0.0000 0.0000 17.6573
Ce Mg
5 1
direct
0.0000 0.0000 0.0000
0.0000 0.0000 0.3329
0.0000 0.0000 0.6671
0.6667 0.3333 0.1648
0.6667 0.3333 0.8352
0.6667 0.3333 0.5000
```

Peak list (6 most intense, 2θ from 5° to 70°, low angle first)
2theta, d_spacing, I (rel.)
5.00, 17.657, 47
30.37, 2.943, 34
32.29, 2.772, 23
35.81, 2.508, 100
57.57, 1.601, 42
66.50, 1.406, 21

***

# 7
Calculated powder XRD pattern of Li3Pd for Cu Kα, from a cell relaxed with PBE.

Atomic structure:
```
Li3Pd
1.0
3.9615 0.0000 0.0000
0.0000 3.9615 0.0000
0.0000 0.0000 7.5770
Li Pd
6 2
direct
0.0000 0.0000 0.0000
0.0000 0.5000 0.2500
0.0000 0.5000 0.7500
0.5000 0.0000 0.2500
0.5000 0.0000 0.7500
0.5000 0.5000 0.5000
0.0000 0.0000 0.5000
0.5000 0.5000 0.0000
```

Peak list (6 most intense, 2θ from 5° to 70°, low angle first)
2theta, d_spacing, I (rel.)
23.48, 3.789, 30
25.37, 3.511, 100
31.95, 2.801, 27
40.03, 2.252, 42
42.45, 2.130, 25
53.09, 1.725, 25

***

# 8
Calculated powder XRD pattern of CsMg6SiO8 for Cu Kα, from a cell relaxed with PBE.

Atomic structure:
```
CsMg6SiO8
1.0
4.5048 0.0000 0.0000
0.0000 9.4991 0.0000
-0.0075 0.0000 4.5995
Cs Mg Si O
1 6 1 8
direct
0.0000 0.0000 0.0000
0.0000 0.2825 0.5000
0.0000 0.5000 0.0000
0.0000 0.7175 0.5000
0.5000 0.2831 0.0000
0.5000 0.5000 0.5000
0.5000 0.7169 0.0000
0.5000 0.0000 0.5000
0.0000 0.0000 0.5000
0.0000 0.2907 0.0000
0.0000 0.5000 0.5000
0.0000 0.7093 0.0000
0.5000 0.0000 0.0000
0.5000 0.2753 0.5000
0.5000 0.5000 0.0000
0.5000 0.7247 0.5000
```

Peak list (6 most intense, 2θ from 5° to 70°, low angle first)
2theta, d_spacing, I (rel.)
9.31, 9.499, 74
33.64, 2.664, 96
37.89, 2.375, 85
39.17, 2.300, 100
40.03, 2.252, 94
56.28, 1.635, 63

***

Q: Which formula does entry 4 have?
A: Bi12Br5O16